Computed XRD peak list of Li5Mn3O8 for Cu Kα X-rays, from the PBE+U geometry in Alexandria.
Kinematic intensities with the Lorentz-polarization factor, no thermal factor.

Atomic structure:
```
data_Li5Mn3O8
_space_group_name_H-M_alt 'P -1'
_space_group_IT_number 2
_cell_length_a 2.9008
_cell_length_b 5.0689
_cell_length_c 9.7531
_cell_angle_alpha 101.16
_cell_angle_beta 90.28
_cell_angle_gamma 90.04
loop_
_space_group_symop_operation_xyz
'x,y,z'
'-x,-y,-z'
loop_
_atom_site_label
_atom_site_type_symbol
_atom_site_fract_x
_atom_site_fract_y
_atom_site_fract_z
_atom_site_occupancy
Li1 Li 0.0000 0.0000 0.0000 1
Li2 Li 0.0000 0.5000 0.5000 1
Li3 Li 0.4975 0.2454 0.2586 1
Li4 Li 0.5000 0.0000 0.5000 1
Mn1 Mn 0.0028 0.2377 0.7428 1
Mn2 Mn 0.5000 0.5000 0.0000 1
O1 O 0.0021 0.9006 0.6366 1
O2 O 0.0114 0.5998 0.8825 1
O3 O 0.4928 0.8541 0.1334 1
O4 O 0.4963 0.6364 0.3590 1
```

Most intense lines, 5 to 70 degrees two-theta, in order of rising 2θ:
two_theta  I_rel  (hkl)
9.24  36.4  0 0 1
18.45  100.0  0 1 -1
18.55  12.7  0 0 2
36.13  15.5  1 0 -2
36.29  23.2  0 1 3
43.62  31.7  1 1 -3
43.79  31.2  1 -1 3
44.18  29.8  0 2 2
63.76  15.9  1 3 -1
64.21  16.2  2 0 0